Starting from a structure optimized by DFT (GGA-PBE), the powder XRD pattern of NdZn11 was computed for Cu Kα.

Structure:
Cell lengths 10.664, 10.664, 6.847 Å; angles 90.00, 90.00, 90.00 degrees
Space group I4_1/amd (No. 141, origin choice 2)
Inequivalent atoms, fractional coordinates:
1 Nd 0.000 0.250 0.375
2 Zn 0.000 0.000 0.000
3 Zn 0.000 0.250 0.875
4 Zn 0.122 0.045 0.677

Largest 8 diffraction maxima, low angle first, 10 to 90 degrees two-theta:
h k l, 2θ/deg, I_rel
3 2 1, 33.0, 40
3 1 2, 37.4, 100
4 2 0, 37.7, 73
1 0 3, 40.4, 33
2 1 3, 44.0, 16
5 0 1, 44.5, 54
4 2 2, 46.4, 30
5 5 2, 67.9, 30